Entry 1:
# Ca2ScRe
Calculated powder diffraction line list, Cu Kα, 1.54184 Å. Input: a structure optimized by DFT (GGA-PBE).
Intensities are scaled so that the largest is 100.

Structure:
```
Ca2ScRe
1.0
7.1322 0.0000 0.0000
0.0000 7.1666 0.0000
0.0000 0.0000 7.2086
Ca Sc Re
8 4 4
direct
0.0000 0.0000 0.0000
0.0000 0.5000 0.5000
0.2500 0.2500 0.2500
0.2500 0.7500 0.7500
0.5000 0.0000 0.5000
0.5000 0.5000 0.0000
0.7500 0.2500 0.7500
0.7500 0.7500 0.2500
0.0000 0.0000 0.5000
0.0000 0.5000 0.0000
0.5000 0.0000 0.0000
0.5000 0.5000 0.5000
0.2500 0.2500 0.7500
0.2500 0.7500 0.2500
0.7500 0.2500 0.2500
0.7500 0.7500 0.7500
```

The 10 most intense peaks (5 to 70 degrees two-theta), low angle first:
2θ = 21.5°, d = 4.139 Å, intensity 69; 2θ = 24.7°, d = 3.604 Å, intensity 12; 2θ = 35.4°, d = 2.538 Å, intensity 100; 2θ = 35.5°, d = 2.528 Å, intensity 49; 2θ = 41.6°, d = 2.170 Å, intensity 13; 2θ = 41.8°, d = 2.161 Å, intensity 13; 2θ = 42.0°, d = 2.153 Å, intensity 13; 2θ = 63.4°, d = 1.467 Å, intensity 17; 2θ = 63.6°, d = 1.463 Å, intensity 17; 2θ = 63.8°, d = 1.460 Å, intensity 17

Entry 2:
# Cu2Bi2As
Calculated powder diffraction line list, Cu Kα, 1.54184 Å. Input: a structure optimized by DFT (GGA-PBE).
Intensities are scaled so that the largest is 100.

Structure:
```
Cu2Bi2As
1.0
7.0154 0.0000 0.0000
0.0000 7.0154 0.0000
0.0000 0.0000 4.2796
Cu Bi As
4 4 2
direct
0.1263 0.3737 0.0000
0.3737 0.8737 0.0000
0.6263 0.1263 0.0000
0.8737 0.6263 0.0000
0.1752 0.6752 0.5000
0.3248 0.1752 0.5000
0.6752 0.8248 0.5000
0.8248 0.3248 0.5000
0.0000 0.0000 0.0000
0.5000 0.5000 0.0000
```

The 10 most intense peaks (5 to 70 degrees two-theta), low angle first:
2θ = 20.8°, d = 4.280 Å, intensity 11; 2θ = 25.4°, d = 3.508 Å, intensity 10; 2θ = 28.4°, d = 3.137 Å, intensity 22; 2θ = 33.0°, d = 2.713 Å, intensity 39; 2θ = 35.5°, d = 2.530 Å, intensity 100; 2θ = 40.7°, d = 2.218 Å, intensity 24; 2θ = 42.2°, d = 2.140 Å, intensity 19; 2θ = 53.9°, d = 1.701 Å, intensity 12; 2θ = 58.4°, d = 1.581 Å, intensity 20; 2θ = 60.0°, d = 1.541 Å, intensity 27

Entry 3:
# La7Tb16Y6
Calculated powder diffraction line list, Cu Kα, 1.54184 Å. Input: a structure optimized by DFT (GGA-PBE).
Intensities are scaled so that the largest is 100.

Structure:
```
La7Tb16Y6
1.0
0.0000 8.0047 8.0047
8.0047 0.0000 8.0047
8.0047 8.0047 0.0000
La Tb Y
7 16 6
direct
0.0000 0.0000 0.0000
0.0000 0.0000 0.5000
0.0000 0.5000 0.0000
0.0000 0.5000 0.5000
0.5000 0.0000 0.0000
0.5000 0.0000 0.5000
0.5000 0.5000 0.0000
0.0397 0.6534 0.6534
0.1280 0.1280 0.1280
0.1280 0.1280 0.6161
0.1280 0.6161 0.1280
0.3466 0.3466 0.3466
0.3466 0.3466 0.9603
0.3466 0.9603 0.3466
0.3839 0.8720 0.8720
0.6161 0.1280 0.1280
0.6534 0.0397 0.6534
0.6534 0.6534 0.0397
0.6534 0.6534 0.6534
0.8720 0.3839 0.8720
0.8720 0.8720 0.3839
0.8720 0.8720 0.8720
0.9603 0.3466 0.3466
0.2625 0.2625 0.7375
0.2625 0.7375 0.2625
0.2625 0.7375 0.7375
0.7375 0.2625 0.2625
0.7375 0.2625 0.7375
0.7375 0.7375 0.2625
```

The 10 most intense peaks (5 to 70 degrees two-theta), low angle first:
2θ = 11.1°, d = 8.005 Å, intensity 9; 2θ = 29.0°, d = 3.081 Å, intensity 9; 2θ = 31.6°, d = 2.830 Å, intensity 100; 2θ = 33.1°, d = 2.706 Å, intensity 10; 2θ = 33.6°, d = 2.668 Å, intensity 7; 2θ = 40.6°, d = 2.220 Å, intensity 7; 2θ = 45.3°, d = 2.001 Å, intensity 13; 2θ = 52.0°, d = 1.757 Å, intensity 7; 2θ = 56.3°, d = 1.634 Å, intensity 25; 2θ = 66.0°, d = 1.415 Å, intensity 7

Entry 4:
# MgRuSe
Calculated powder diffraction line list, Cu Kα, 1.54184 Å. Input: a structure optimized by DFT (GGA-PBE).
Intensities are scaled so that the largest is 100.

Structure:
```
MgRuSe
1.0
4.2076 0.0000 0.0000
0.0000 4.2076 0.0000
0.0000 0.0000 6.0163
Mg Ru Se
2 2 2
direct
0.2500 0.2500 0.1926
0.7500 0.7500 0.8074
0.2500 0.7500 0.5000
0.7500 0.2500 0.5000
0.2500 0.2500 0.7438
0.7500 0.7500 0.2562
```

The 10 most intense peaks (5 to 70 degrees two-theta), low angle first:
2θ = 14.7°, d = 6.016 Å, intensity 87; 2θ = 25.8°, d = 3.448 Å, intensity 30; 2θ = 33.6°, d = 2.667 Å, intensity 58; 2θ = 42.7°, d = 2.115 Å, intensity 100; 2θ = 43.0°, d = 2.104 Å, intensity 52; 2θ = 45.7°, d = 1.986 Å, intensity 19; 2θ = 50.8°, d = 1.796 Å, intensity 9; 2θ = 55.2°, d = 1.663 Å, intensity 9; 2θ = 62.4°, d = 1.488 Å, intensity 17; 2θ = 64.2°, d = 1.452 Å, intensity 10

Entry 5:
# SrAcRe2N5
Calculated powder diffraction line list, Cu Kα, 1.54184 Å. Input: a structure optimized by DFT (GGA-PBE).
Intensities are scaled so that the largest is 100.

Structure:
```
SrAcRe2N5
1.0
3.9963 0.0000 0.0000
0.0000 3.9963 0.0000
0.0000 0.0000 7.7335
Sr Ac Re N
1 1 2 5
direct
0.0000 0.0000 0.0000
0.0000 0.0000 0.5000
0.5000 0.5000 0.2508
0.5000 0.5000 0.7492
0.0000 0.5000 0.2337
0.0000 0.5000 0.7663
0.5000 0.0000 0.2337
0.5000 0.0000 0.7663
0.5000 0.5000 0.5000
```

The 10 most intense peaks (5 to 70 degrees two-theta), low angle first:
2θ = 11.4°, d = 7.734 Å, intensity 12; 2θ = 25.1°, d = 3.550 Å, intensity 6; 2θ = 31.7°, d = 2.826 Å, intensity 48; 2θ = 32.2°, d = 2.779 Å, intensity 100; 2θ = 45.4°, d = 1.998 Å, intensity 24; 2θ = 47.0°, d = 1.934 Å, intensity 12; 2θ = 56.7°, d = 1.622 Å, intensity 41; 2θ = 57.8°, d = 1.596 Å, intensity 19; 2θ = 66.1°, d = 1.413 Å, intensity 8; 2θ = 67.4°, d = 1.389 Å, intensity 15

Entry 6:
# Li3Ce2CoNi12
Calculated powder diffraction line list, Cu Kα, 1.54184 Å. Input: a structure optimized by DFT (GGA-PBE).
Intensities are scaled so that the largest is 100.

Structure:
```
Li3Ce2CoNi12
1.0
2.9827 1.7221 8.2374
-2.9827 1.7221 8.2374
0.0000 -3.4442 8.2374
Li Ce Co Ni
3 2 1 12
direct
0.0000 0.5000 0.5000
0.5000 0.0000 0.5000
0.5000 0.5000 0.0000
0.1455 0.1455 0.1455
0.8545 0.8545 0.8545
0.5000 0.5000 0.5000
0.0819 0.0819 0.6913
0.0819 0.6913 0.0819
0.1110 0.6003 0.6003
0.3087 0.9181 0.9181
0.3997 0.3997 0.8890
0.3997 0.8890 0.3997
0.6003 0.1110 0.6003
0.6003 0.6003 0.1110
0.6913 0.0819 0.0819
0.8890 0.3997 0.3997
0.9181 0.3087 0.9181
0.9181 0.9181 0.3087
```

The 10 most intense peaks (5 to 70 degrees two-theta), low angle first:
2θ = 10.7°, d = 8.237 Å, intensity 44; 2θ = 17.5°, d = 5.057 Å, intensity 30; 2θ = 31.9°, d = 2.805 Å, intensity 49; 2θ = 37.2°, d = 2.416 Å, intensity 41; 2θ = 37.7°, d = 2.383 Å, intensity 100; 2θ = 40.5°, d = 2.229 Å, intensity 31; 2θ = 44.0°, d = 2.060 Å, intensity 29; 2θ = 45.8°, d = 1.982 Å, intensity 42; 2θ = 58.1°, d = 1.589 Å, intensity 20; 2θ = 62.3°, d = 1.491 Å, intensity 28

Entry 7:
# Na3ThB24
Calculated powder diffraction line list, Cu Kα, 1.54184 Å. Input: a structure optimized by DFT (GGA-PBE).
Intensities are scaled so that the largest is 100.

Structure:
```
Na3ThB24
1.0
4.1464 0.0000 0.0000
0.0000 4.1464 0.0000
0.0000 0.0000 16.6502
Na Th B
3 1 24
direct
0.0000 0.0000 0.0000
0.0000 0.0000 0.2361
0.0000 0.0000 0.7639
0.0000 0.0000 0.5000
0.1984 0.5000 0.1253
0.1984 0.5000 0.8747
0.2009 0.5000 0.3769
0.2009 0.5000 0.6231
0.5000 0.1984 0.1253
0.5000 0.1984 0.8747
0.5000 0.2009 0.3769
0.5000 0.2009 0.6231
0.5000 0.5000 0.0499
0.5000 0.5000 0.2006
0.5000 0.5000 0.3010
0.5000 0.5000 0.4510
0.5000 0.5000 0.5490
0.5000 0.5000 0.6990
0.5000 0.5000 0.7994
0.5000 0.5000 0.9501
0.5000 0.7991 0.3769
0.5000 0.7991 0.6231
0.5000 0.8016 0.1253
0.5000 0.8016 0.8747
0.7991 0.5000 0.3769
0.7991 0.5000 0.6231
0.8016 0.5000 0.1253
0.8016 0.5000 0.8747
```

The 10 most intense peaks (5 to 70 degrees two-theta), low angle first:
2θ = 5.3°, d = 16.650 Å, intensity 100; 2θ = 10.6°, d = 8.325 Å, intensity 26; 2θ = 16.0°, d = 5.550 Å, intensity 12; 2θ = 22.1°, d = 4.024 Å, intensity 19; 2θ = 24.0°, d = 3.712 Å, intensity 16; 2θ = 26.8°, d = 3.323 Å, intensity 17; 2θ = 30.4°, d = 2.936 Å, intensity 36; 2θ = 34.6°, d = 2.594 Å, intensity 13; 2θ = 37.5°, d = 2.397 Å, intensity 17; 2θ = 49.1°, d = 1.855 Å, intensity 11

Entry 8:
# Mn2GaBSe
Calculated powder diffraction line list, Cu Kα, 1.54184 Å. Input: a structure optimized by DFT (GGA-PBE).
Intensities are scaled so that the largest is 100.

Structure:
```
Mn2GaBSe
1.0
5.4768 0.0000 0.0000
0.0000 3.1592 0.0000
-1.8129 0.0000 8.0294
Mn Ga B Se
4 2 2 2
direct
0.0000 0.0000 0.0000
0.2490 0.0000 0.7442
0.5000 0.5000 0.0000
0.7490 0.5000 0.7442
0.2402 0.5000 0.2224
0.7402 0.0000 0.2224
0.1270 0.5000 0.8800
0.6270 0.0000 0.8800
0.3492 0.5000 0.5438
0.8492 0.0000 0.5438
```

The 10 most intense peaks (5 to 70 degrees two-theta), low angle first:
2θ = 32.9°, d = 2.720 Å, intensity 73; 2θ = 33.5°, d = 2.673 Å, intensity 28; 2θ = 33.6°, d = 2.668 Å, intensity 38; 2θ = 36.0°, d = 2.492 Å, intensity 49; 2θ = 37.8°, d = 2.380 Å, intensity 22; 2θ = 42.2°, d = 2.142 Å, intensity 49; 2θ = 44.7°, d = 2.025 Å, intensity 100; 2θ = 45.2°, d = 2.007 Å, intensity 23; 2θ = 50.5°, d = 1.808 Å, intensity 31; 2θ = 58.4°, d = 1.580 Å, intensity 60